Calculated X-ray powder pattern of Co2O3F for Cu Kα (weighted mean of Kα1 and Kα2), from a cell relaxed with PBE+U.

```
data_Co2O3F
_symmetry_space_group_name_H-M 'C 1 2/m 1'
_symmetry_Int_Tables_number 12
_symmetry_space_group_name_Hall '-C 2y'
_cell_length_a 8.780
_cell_length_b 5.855
_cell_length_c 9.631
_cell_angle_alpha 90.00
_cell_angle_beta 114.29
_cell_angle_gamma 90.00
loop_
_atom_site_label
_atom_site_type_symbol
_atom_site_fract_x
_atom_site_fract_y
_atom_site_fract_z
Co1 Co 0.000 0.000 0.000
Co2 Co 0.000 0.500 0.000
Co3 Co 0.125 0.246 0.750
Co4 Co 0.227 0.500 0.485
O1 O 0.014 0.500 0.345
O2 O 0.049 0.250 0.903
O3 O 0.202 0.248 0.597
O4 O 0.232 0.500 0.156
F1 F 0.043 0.000 0.361
F2 F 0.215 0.000 0.143
```

Largest 10 diffraction maxima, by angle, 10 to 90 degrees two-theta:
2θ = 28.06°, intensity 800, (2 0 1)
2θ = 29.49°, intensity 815, (2 0 -3)
2θ = 36.91°, intensity 1000, (0 2 2)
2θ = 41.15°, intensity 164, (0 0 4)
2θ = 41.95°, intensity 130, (2 2 1)
2θ = 55.63°, intensity 470, (2 2 3)
2θ = 57.29°, intensity 474, (4 2 -4)
2θ = 58.00°, intensity 143, (4 0 2)
2θ = 63.57°, intensity 143, (0 4 0)
2θ = 72.22°, intensity 302, (0 2 6)